Simulated powder XRD pattern of FeHgPbCl4 for Cu Kα X-rays, from the PBE geometry in Alexandria.
Peak positions follow from Bragg's law for the DFT cell and can differ from measured ones.

Structural model:
Cell lengths 8.0356, 8.0356, 8.5217 Å; angles 105.40, 105.40, 68.54 degrees
Sites, in units of the cell vectors:
Fe: 0.1504 0.1504 0.2937
Fe: 0.8496 0.8496 0.7063
Hg: 0.4670 0.4670 0.1952
Hg: 0.5330 0.5330 0.8048
Pb: 0.2353 0.2353 0.8828
Pb: 0.7647 0.7647 0.1172
Cl: 0.0105 0.6313 0.8709
Cl: 0.0207 0.0207 0.7067
Cl: 0.2687 0.2687 0.5519
Cl: 0.3687 0.9895 0.1291
Cl: 0.6313 0.0105 0.8709
Cl: 0.7313 0.7313 0.4481
Cl: 0.9793 0.9793 0.2933
Cl: 0.9895 0.3687 0.1291

The 12 most intense peaks (10° ≤ 2θ ≤ 90°), in order of rising 2θ:
2θ = 10.96°, d 8.070, rel. 648
2θ = 19.62°, d 4.525, rel. 1000
2θ = 22.03°, d 4.036, rel. 343
2θ = 23.39°, d 3.804, rel. 365
2θ = 27.13°, d 3.287, rel. 818
2θ = 28.71°, d 3.109, rel. 472
2θ = 29.66°, d 3.012, rel. 527
2θ = 34.76°, d 2.581, rel. 428
2θ = 37.71°, d 2.386, rel. 308
2θ = 39.31°, d 2.292, rel. 527
2θ = 39.84°, d 2.262, rel. 207
2θ = 47.54°, d 1.912, rel. 221

---

Simulated powder XRD pattern of LiP2Pd4 for Cu Kα X-rays, from the PBE geometry in Alexandria.
Peak positions follow from Bragg's law for the DFT cell and can differ from measured ones.

Structural model:
Cell lengths 6.6859, 6.6859, 4.1408 Å; angles 90.00, 90.00, 143.92 degrees
Sites, in units of the cell vectors:
Li: 0.0000 0.0000 0.0000
P: 0.4151 0.5849 0.5000
P: 0.5849 0.4151 0.5000
Pd: 0.1707 0.8293 0.5000
Pd: 0.3327 0.6673 0.0000
Pd: 0.6673 0.3327 0.0000
Pd: 0.8293 0.1707 0.5000

The 12 most intense peaks (10° ≤ 2θ ≤ 90°), in order of rising 2θ:
2θ = 13.93°, d 6.357, rel. 540
2θ = 28.07°, d 3.179, rel. 141
2θ = 31.35°, d 2.853, rel. 197
2θ = 37.33°, d 2.409, rel. 1000
2θ = 42.67°, d 2.119, rel. 127
2θ = 43.72°, d 2.070, rel. 415
2θ = 46.11°, d 1.969, rel. 107
2θ = 47.35°, d 1.920, rel. 223
2θ = 62.74°, d 1.481, rel. 159
2θ = 63.55°, d 1.464, rel. 133
2θ = 74.59°, d 1.272, rel. 130
2θ = 76.08°, d 1.251, rel. 239

---

Simulated powder XRD pattern of Dy3HoTm5 for Cu Kα X-rays, from the PBE geometry in Alexandria.
Peak positions follow from Bragg's law for the DFT cell and can differ from measured ones.

Structural model:
Cell lengths 10.3621, 10.3621, 10.3621 Å; angles 139.75, 67.89, 127.82 degrees
Sites, in units of the cell vectors:
Dy: 0.3087 0.2489 0.0599
Dy: 0.3110 0.7511 0.5599
Dy: 0.5000 0.0000 0.0000
Dy: 0.5000 0.5000 0.5000
Dy: 0.6890 0.2489 0.4401
Dy: 0.6913 0.7511 0.9401
Ho: 0.1979 0.4479 0.7500
Ho: 0.8021 0.5521 0.2500
Tm: 0.0211 0.1843 0.3405
Tm: 0.0211 0.6806 0.8368
Tm: 0.1594 0.9094 0.2500
Tm: 0.3438 0.1843 0.6632
Tm: 0.3438 0.6806 0.1595
Tm: 0.6562 0.3194 0.8405
Tm: 0.6562 0.8157 0.3368
Tm: 0.8406 0.0906 0.7500
Tm: 0.9789 0.3194 0.1632
Tm: 0.9789 0.8157 0.6595

The 12 most intense peaks (10° ≤ 2θ ≤ 90°), in order of rising 2θ:
2θ = 29.87°, d 2.992, rel. 390
2θ = 31.16°, d 2.870, rel. 1000
2θ = 32.63°, d 2.744, rel. 133
2θ = 33.57°, d 2.669, rel. 423
2θ = 38.29°, d 2.351, rel. 177
2θ = 39.58°, d 2.277, rel. 225
2θ = 51.24°, d 1.783, rel. 119
2θ = 53.71°, d 1.707, rel. 112
2θ = 59.17°, d 1.562, rel. 207
2θ = 60.45°, d 1.531, rel. 107
2θ = 61.23°, d 1.514, rel. 111
2θ = 66.63°, d 1.404, rel. 98

---

Simulated powder XRD pattern of Ba4SiS6 for Cu Kα X-rays, from the PBE geometry in Alexandria.
Peak positions follow from Bragg's law for the DFT cell and can differ from measured ones.

Structural model:
Cell lengths 7.9527, 7.9527, 15.6926 Å; angles 106.62, 106.62, 49.16 degrees
Sites, in units of the cell vectors:
Ba: 0.0489 0.5315 0.8146
Ba: 0.2087 0.6979 0.1838
Ba: 0.2329 0.7671 0.5000
Ba: 0.4069 0.8862 0.9347
Ba: 0.5315 0.0489 0.3146
Ba: 0.6979 0.2087 0.6838
Ba: 0.7671 0.2329 0.0000
Ba: 0.8862 0.4069 0.4347
Si: 0.4707 0.9408 0.6977
Si: 0.9408 0.4707 0.1977
S: 0.0525 0.5656 0.3330
S: 0.2242 0.2254 0.6315
S: 0.2254 0.2242 0.1315
S: 0.2263 0.6988 0.9892
S: 0.3420 0.7788 0.7091
S: 0.3431 0.8779 0.3711
S: 0.5656 0.0525 0.8330
S: 0.6988 0.2263 0.4892
S: 0.7384 0.7593 0.1326
S: 0.7593 0.7384 0.6326
S: 0.7788 0.3420 0.2091
S: 0.8779 0.3431 0.8711

The 12 most intense peaks (10° ≤ 2θ ≤ 90°), in order of rising 2θ:
2θ = 20.16°, d 4.405, rel. 525
2θ = 21.68°, d 4.100, rel. 877
2θ = 22.82°, d 3.896, rel. 1000
2θ = 24.90°, d 3.576, rel. 381
2θ = 26.96°, d 3.308, rel. 756
2θ = 29.32°, d 3.046, rel. 366
2θ = 30.71°, d 2.911, rel. 355
2θ = 33.89°, d 2.645, rel. 493
2θ = 34.33°, d 2.612, rel. 228
2θ = 35.48°, d 2.530, rel. 298
2θ = 40.25°, d 2.241, rel. 472
2θ = 44.59°, d 2.032, rel. 346

---

Simulated powder XRD pattern of TbTlPb2Se4 for Cu Kα X-rays, from the PBE geometry in Alexandria.
Peak positions follow from Bragg's law for the DFT cell and can differ from measured ones.

Structural model:
Cell lengths 7.4636, 4.3341, 7.6713 Å; angles 90.00, 108.48, 90.00 degrees
Sites, in units of the cell vectors:
Tb: 0.0000 0.0000 0.0000
Tl: 0.0000 0.5000 0.5000
Pb: 0.5000 0.0000 0.5000
Pb: 0.5000 0.5000 0.0000
Se: 0.2348 0.5000 0.2269
Se: 0.2465 0.0000 0.7727
Se: 0.7535 0.0000 0.2273
Se: 0.7652 0.5000 0.7731

The 12 most intense peaks (10° ≤ 2θ ≤ 90°), in order of rising 2θ:
2θ = 24.47°, d 3.638, rel. 132
2θ = 25.16°, d 3.540, rel. 354
2θ = 28.85°, d 3.095, rel. 1000
2θ = 29.09°, d 3.069, rel. 486
2θ = 40.82°, d 2.211, rel. 192
2θ = 40.99°, d 2.202, rel. 377
2θ = 41.68°, d 2.167, rel. 189
2θ = 41.87°, d 2.158, rel. 369
2θ = 50.15°, d 1.819, rel. 101
2θ = 51.64°, d 1.770, rel. 299
2θ = 59.76°, d 1.548, rel. 126
2θ = 75.62°, d 1.258, rel. 127

---

Simulated powder XRD pattern of LaNd8Er3 for Cu Kα X-rays, from the PBE geometry in Alexandria.
Peak positions follow from Bragg's law for the DFT cell and can differ from measured ones.

Structural model:
Cell lengths 6.9414, 7.3702, 8.6814 Å; angles 89.95, 76.43, 74.63 degrees
Sites, in units of the cell vectors:
La: 0.0000 0.0000 0.0000
Nd: 0.0055 0.4944 0.0047
Nd: 0.1152 0.9663 0.3903
Nd: 0.3336 0.1658 0.6709
Nd: 0.4456 0.6344 0.0587
Nd: 0.6615 0.3325 0.3382
Nd: 0.6678 0.8307 0.3387
Nd: 0.7757 0.3047 0.7232
Nd: 0.7785 0.7988 0.7255
Er: 0.1150 0.4679 0.3907
Er: 0.3328 0.6624 0.6666
Er: 0.4437 0.1358 0.0601

The 12 most intense peaks (10° ≤ 2θ ≤ 90°), in order of rising 2θ:
2θ = 27.94°, d 3.194, rel. 235
2θ = 30.41°, d 2.939, rel. 252
2θ = 31.89°, d 2.806, rel. 1000
2θ = 41.76°, d 2.163, rel. 159
2θ = 49.43°, d 1.844, rel. 196
2θ = 54.98°, d 1.670, rel. 214
2θ = 59.15°, d 1.562, rel. 228
2θ = 60.03°, d 1.541, rel. 137
2θ = 77.03°, d 1.238, rel. 66
2θ = 81.33°, d 1.183, rel. 69
2θ = 81.44°, d 1.182, rel. 69
2θ = 84.26°, d 1.149, rel. 84